Record 1
Pu2Tl3Cd3: calculated XRD peak list (Cu Ka), based on a cell relaxed with GGA-PBE.
No peak broadening, texture or thermal motion is included.

```
data_Pu2Tl3Cd3
_chemical_formula_sum 'Pu6 Tl9 Cd9'
_cell_length_a 9.0545
_cell_length_b 9.0545
_cell_length_c 9.2888
_cell_angle_alpha 90.00
_cell_angle_beta 90.00
_cell_angle_gamma 120.00
_symmetry_space_group_name_H-M 'R 3 2'
_symmetry_Int_Tables_number 155
_symmetry_space_group_name_Hall 'R 3 2"'
loop_
_atom_site_label
_atom_site_type_symbol
_atom_site_fract_x
_atom_site_fract_y
_atom_site_fract_z
Pu1 Pu 0.0000 0.0000 0.1994
Tl1 Tl 0.0000 0.7464 0.5000
Cd1 Cd 0.0000 0.3050 0.0000
```

Largest 6 diffraction maxima, in order of rising 2θ, 10 to 90 degrees two-theta:
d (Å), Rel. int., h k l
2.996, 52, 2 0 2
2.824, 71, 2 1 1
2.614, 90, 3 0 0
2.556, 100, 1 1 3
2.498, 69, 1 2 2
1.498, 48, 4 0 4

---

Record 2
Mg4Pb: calculated XRD peak list (Cu Ka), based on a cell relaxed with GGA-PBE.
No peak broadening, texture or thermal motion is included.

```
data_Mg4Pb
_chemical_formula_sum 'Mg8 Pb2'
_cell_length_a 7.957
_cell_length_b 5.212
_cell_length_c 6.347
_cell_angle_alpha 90.00
_cell_angle_beta 90.53
_cell_angle_gamma 90.00
_symmetry_space_group_name_H-M 'P 1 21/c 1'
_symmetry_Int_Tables_number 14
_symmetry_space_group_name_Hall '-P 2ybc'
loop_
_atom_site_label
_atom_site_type_symbol
_atom_site_fract_x
_atom_site_fract_y
_atom_site_fract_z
Mg1 Mg 0.126 0.246 0.004
Mg2 Mg 0.213 0.748 0.253
Pb1 Pb 0.500 0.000 0.500
```

Largest 6 diffraction maxima, in order of rising 2θ, 10 to 90 degrees two-theta:
d (Å), Rel. int., h k l
7.956, 100, 1 0 0
4.028, 80, 0 1 1
3.602, 62, 1 1 -1
3.585, 62, 1 1 1
2.839, 34, 2 1 -1
2.476, 36, 1 2 0

---

Record 3
ScZnRhAu: calculated XRD peak list (Cu Ka), based on a cell relaxed with GGA-PBE.
No peak broadening, texture or thermal motion is included.

```
data_ScZnRhAu
_chemical_formula_sum 'Sc2 Zn2 Rh2 Au2'
_cell_length_a 4.156
_cell_length_b 4.156
_cell_length_c 7.544
_cell_angle_alpha 90.00
_cell_angle_beta 90.00
_cell_angle_gamma 90.00
_symmetry_space_group_name_H-M 'I -4 m 2'
_symmetry_Int_Tables_number 119
_symmetry_space_group_name_Hall 'I -4 -2'
loop_
_atom_site_label
_atom_site_type_symbol
_atom_site_fract_x
_atom_site_fract_y
_atom_site_fract_z
Sc1 Sc 0.000 0.000 0.000
Zn1 Zn 0.000 0.000 0.500
Rh1 Rh 0.000 0.500 0.250
Au1 Au 0.000 0.500 0.750
```

Largest 6 diffraction maxima, in order of rising 2θ, 10 to 90 degrees two-theta:
d (Å), Rel. int., h k l
3.772, 18, 0 0 2
2.939, 19, 1 1 0
2.318, 100, 1 1 2
2.078, 36, 2 0 0
1.396, 20, 2 0 4
1.241, 26, 3 1 2

---

Record 4
AcTm3As4O12: calculated XRD peak list (Cu Ka), based on a cell relaxed with GGA-PBE.
No peak broadening, texture or thermal motion is included.

```
data_AcTm3As4O12
_chemical_formula_sum 'Ac3 Tm9 As12 O36'
_cell_length_a 11.2793
_cell_length_b 11.2793
_cell_length_c 8.4213
_cell_angle_alpha 90.00
_cell_angle_beta 90.00
_cell_angle_gamma 120.00
_symmetry_space_group_name_H-M 'R 3 2'
_symmetry_Int_Tables_number 155
_symmetry_space_group_name_Hall 'R 3 2"'
loop_
_atom_site_label
_atom_site_type_symbol
_atom_site_fract_x
_atom_site_fract_y
_atom_site_fract_z
Ac1 Ac 0.0000 0.0000 0.0000
Tm1 Tm 0.0000 0.5719 0.0000
As1 As 0.0000 0.0000 0.5000
As2 As 0.0000 0.4014 0.5000
O1 O 0.0000 0.5610 0.5000
O2 O 0.0000 0.8301 0.5000
O3 O 0.0494 0.1922 0.1982
```

Largest 6 diffraction maxima, in order of rising 2θ, 10 to 90 degrees two-theta:
d (Å), Rel. int., h k l
4.225, 40, 0 2 1
3.381, 42, 2 1 1
3.256, 32, 3 0 0
3.189, 100, 2 0 2
2.579, 38, 1 3 1
1.564, 35, 5 2 0